This entry pairs a crystal structure of Ba2Ta2O7 with its simulated X-ray diffraction stick pattern. Radiation: a wavelength of 1.5418 Å. Structure: a DFT-relaxed cell (PBE, the Materials Project).

Top 10 peaks for 2θ = 15–90°, in order of rising 2θ:
| (hkl) | 2θ (°) | intensity |
| --- | --- | --- |
| 0 6 1 | 24.28 | 31.5 |
| 0 8 0 | 25.47 | 35.6 |
| 1 1 1 | 26.70 | 25.0 |
| 1 3 1 | 28.21 | 81.5 |
| 0 8 1 | 29.66 | 28.7 |
| 0 0 2 | 30.14 | 52.1 |
| 1 5 1 | 31.02 | 100.0 |
| 2 0 0 | 44.36 | 29.5 |
| 1 5 3 | 54.09 | 23.7 |
| 1 15 1 | 56.41 | 23.7 |

Atomic structure:
Cell: 4.084 27.980 5.929 Å, 90.00 90.00 90.00°
Space group Cmcm (No. 63)
One atom of each set of equivalent atoms:
1 Ba 0.000 0.053 0.250 (multiplicity 4)
2 Ba 0.000 0.208 0.750 (multiplicity 4)
3 Ta 0.000 0.341 0.750 (multiplicity 4)
4 Ta 0.000 0.445 0.250 (multiplicity 4)
5 O 0.000 0.049 0.750 (multiplicity 4)
6 O 0.000 0.151 0.250 (multiplicity 4)
7 O 0.000 0.295 0.522 (multiplicity 8)
8 O 0.000 0.400 0.001 (multiplicity 8)
9 O 0.000 0.500 0.000 (multiplicity 4)

---

This entry pairs a crystal structure of Ba4Ta2O9 with its simulated X-ray diffraction stick pattern. Radiation: a wavelength of 1.5418 Å. Structure: a DFT-relaxed cell (PBE, the Materials Project).

Top 10 peaks for 2θ = 15–90°, in order of rising 2θ:
| (hkl) | 2θ (°) | intensity |
| --- | --- | --- |
| 0 1 2 | 19.80 | 16.0 |
| 1 0 4 | 27.79 | 96.7 |
| 1 1 0 | 28.49 | 100.0 |
| 0 2 4 | 40.22 | 37.4 |
| 1 1 6 | 44.74 | 19.4 |
| 0 1 8 | 48.71 | 13.3 |
| 2 1 4 | 50.03 | 39.0 |
| 3 0 0 | 50.46 | 26.5 |
| 2 2 0 | 58.97 | 13.7 |
| 1 3 4 | 66.41 | 16.9 |

Atomic structure:
Cell: 6.2648 6.2648 15.9312 Å, 90.00 90.00 120.00°
Space group P-3c1 (No. 165)
One atom of each set of equivalent atoms:
1 Ba 0.3333 0.6667 0.0322 (multiplicity 4)
2 Ba 0.3333 0.6667 0.2947 (multiplicity 4)
3 Ta 0.0000 0.0000 0.1525 (multiplicity 4)
4 O 0.0000 0.2351 0.2500 (multiplicity 6)
5 O 0.0363 0.2940 0.9025 (multiplicity 12)

---

This entry pairs a crystal structure of Ba4Ta2O9 with its simulated X-ray diffraction stick pattern. Radiation: a wavelength of 1.5418 Å. Structure: a DFT-relaxed cell (PBE, the Materials Project).

Top 10 peaks for 2θ = 15–90°, in order of rising 2θ:
| (hkl) | 2θ (°) | intensity |
| --- | --- | --- |
| 1 1 -2 | 17.40 | 13.9 |
| 1 4 0 | 27.15 | 82.2 |
| 2 0 -2 | 28.89 | 100.0 |
| 0 4 4 | 40.06 | 39.4 |
| 1 6 -4 | 43.86 | 19.9 |
| 2 4 2 | 50.14 | 29.6 |
| 3 0 0 | 51.18 | 15.6 |
| 2 0 4 | 59.85 | 15.2 |
| 4 4 -6 | 66.92 | 12.8 |
| 1 0 -10 | 82.59 | 11.2 |

Atomic structure:
Cell: 6.184 16.640 12.360 Å, 90.00 120.02 90.00°
Space group P2_1/c (No. 14)
One atom of each set of equivalent atoms:
1 Ba 0.000 0.000 0.000 (multiplicity 2)
2 Ba 0.000 0.000 0.500 (multiplicity 2)
3 Ba 0.003 0.248 0.001 (multiplicity 4)
4 Ba 0.328 0.635 0.341 (multiplicity 4)
5 Ba 0.333 0.634 0.828 (multiplicity 4)
6 Ta 0.327 0.165 0.830 (multiplicity 4)
7 Ta 0.350 0.153 0.336 (multiplicity 4)
8 O 0.058 0.243 0.293 (multiplicity 4)
9 O 0.102 0.114 0.675 (multiplicity 4)
10 O 0.115 0.104 0.181 (multiplicity 4)
11 O 0.235 0.114 0.941 (multiplicity 4)
12 O 0.292 0.095 0.450 (multiplicity 4)
13 O 0.345 0.607 0.137 (multiplicity 4)
14 O 0.365 0.610 0.620 (multiplicity 4)
15 O 0.425 0.249 0.233 (multiplicity 4)
16 O 0.463 0.744 0.024 (multiplicity 4)

---

This entry pairs a crystal structure of Ba4Ta2O9 with its simulated X-ray diffraction stick pattern. Radiation: a wavelength of 1.5418 Å. Structure: a DFT-relaxed cell (PBE, the Materials Project).

Top 10 peaks for 2θ = 15–90°, in order of rising 2θ:
| (hkl) | 2θ (°) | intensity |
| --- | --- | --- |
| 1 1 -5 | 28.35 | 100.0 |
| 3 1 -3 | 29.30 | 93.2 |
| 4 0 -8 | 41.22 | 48.9 |
| 2 0 -10 | 49.59 | 19.0 |
| 5 1 -1 | 51.30 | 12.2 |
| 1 3 -5 | 51.41 | 26.2 |
| 3 3 -3 | 51.96 | 19.9 |
| 6 2 -6 | 60.73 | 9.7 |
| 5 1 -13 | 66.92 | 10.9 |
| 7 1 -11 | 68.35 | 11.0 |

Atomic structure:
Cell: 10.571 6.090 18.903 Å, 90.00 123.90 90.00°
Space group P2_1/c (No. 14)
One atom of each set of equivalent atoms:
1 Ba 0.000 0.000 0.000 (multiplicity 2)
2 Ba 0.053 0.013 0.397 (multiplicity 4)
3 Ba 0.260 0.007 0.258 (multiplicity 4)
4 Ba 0.410 0.009 0.091 (multiplicity 4)
5 Ba 0.500 0.000 0.500 (multiplicity 2)
6 Ta 0.166 0.506 0.330 (multiplicity 4)
7 Ta 0.339 0.510 0.171 (multiplicity 4)
8 O 0.022 0.727 0.751 (multiplicity 4)
9 O 0.097 0.574 0.403 (multiplicity 4)
10 O 0.189 0.179 0.580 (multiplicity 4)
11 O 0.206 0.735 0.624 (multiplicity 4)
12 O 0.242 0.041 0.744 (multiplicity 4)
13 O 0.270 0.245 0.395 (multiplicity 4)
14 O 0.343 0.691 0.392 (multiplicity 4)
15 O 0.434 0.578 0.110 (multiplicity 4)
16 O 0.488 0.242 0.232 (multiplicity 4)

---

This entry pairs a crystal structure of Ba2Ta15O32 with its simulated X-ray diffraction stick pattern. Radiation: a wavelength of 1.5418 Å. Structure: a DFT-relaxed cell (PBE, the Materials Project).

Top 10 peaks for 2θ = 15–90°, in order of rising 2θ:
| (hkl) | 2θ (°) | intensity |
| --- | --- | --- |
| 1 0 3 | 23.73 | 59.0 |
| 2 1 -1 | 27.12 | 100.0 |
| 2 0 2 | 28.03 | 92.5 |
| 2 2 3 | 29.01 | 60.1 |
| -1 1 3 | 31.93 | 50.1 |
| 2 -1 0 | 34.94 | 81.3 |
| 3 2 3 | 36.30 | 63.6 |
| 3 1 3 | 37.09 | 38.6 |
| 3 2 -3 | 50.17 | 74.4 |
| 5 1 2 | 62.47 | 48.0 |

Atomic structure:
Cell: 7.865 7.866 12.814 Å, 72.16 72.14 60.03°
Space group P1 (No. 1)
One atom of each set of equivalent atoms:
1 Ba 0.000 0.000 0.000 (multiplicity 1)
2 Ba 0.292 0.275 0.164 (multiplicity 1)
3 Ta 0.094 0.309 0.679 (multiplicity 1)
4 Ta 0.120 0.553 0.880 (multiplicity 1)
5 Ta 0.178 0.701 0.284 (multiplicity 1)
6 Ta 0.205 0.943 0.485 (multiplicity 1)
7 Ta 0.332 0.901 0.679 (multiplicity 1)
8 Ta 0.374 0.181 0.485 (multiplicity 1)
9 Ta 0.454 0.096 0.880 (multiplicity 1)
10 Ta 0.511 0.487 0.498 (multiplicity 1)
11 Ta 0.575 0.432 0.879 (multiplicity 1)
12 Ta 0.649 0.626 0.082 (multiplicity 1)
13 Ta 0.723 0.821 0.284 (multiplicity 1)
14 Ta 0.788 0.764 0.666 (multiplicity 1)
15 Ta 0.845 0.155 0.285 (multiplicity 1)
16 Ta 0.925 0.070 0.679 (multiplicity 1)
17 Ta 0.966 0.350 0.485 (multiplicity 1)
18 O 0.001 0.685 0.203 (multiplicity 1)
19 O 0.013 0.165 0.376 (multiplicity 1)
20 O 0.110 0.823 0.788 (multiplicity 1)
21 O 0.117 0.978 0.202 (multiplicity 1)
22 O 0.181 0.274 0.961 (multiplicity 1)
23 O 0.189 0.428 0.376 (multiplicity 1)
24 O 0.286 0.086 0.788 (multiplicity 1)
25 O 0.297 0.567 0.961 (multiplicity 1)
26 O 0.308 0.698 0.394 (multiplicity 1)
27 O 0.316 0.387 0.583 (multiplicity 1)
28 O 0.410 0.698 0.583 (multiplicity 1)
29 O 0.412 0.388 0.795 (multiplicity 1)
30 O 0.414 0.582 0.177 (multiplicity 1)
31 O 0.452 0.989 0.376 (multiplicity 1)
32 O 0.467 0.861 0.987 (multiplicity 1)
33 O 0.577 0.669 0.769 (multiplicity 1)
34 O 0.578 0.959 0.581 (multiplicity 1)
35 O 0.590 0.158 0.961 (multiplicity 1)
36 O 0.606 0.285 0.394 (multiplicity 1)
37 O 0.607 0.809 0.177 (multiplicity 1)
38 O 0.692 0.442 0.987 (multiplicity 1)
39 O 0.692 0.967 0.770 (multiplicity 1)
40 O 0.708 0.094 0.203 (multiplicity 1)
41 O 0.721 0.292 0.583 (multiplicity 1)
42 O 0.721 0.583 0.394 (multiplicity 1)
43 O 0.832 0.390 0.177 (multiplicity 1)
44 O 0.847 0.262 0.788 (multiplicity 1)
45 O 0.885 0.669 0.987 (multiplicity 1)
46 O 0.887 0.864 0.369 (multiplicity 1)
47 O 0.888 0.554 0.581 (multiplicity 1)
48 O 0.983 0.865 0.581 (multiplicity 1)
49 O 0.991 0.554 0.770 (multiplicity 1)